This entry pairs a crystal structure of CdTcPb2O6 with its computed XRD peak list. Radiation: Cu Ka. Structure: a DFT-relaxed cell (PBE, OQMD).
Peak positions follow from Bragg's law for the DFT cell and can differ from measured ones.

abc: 8.220 8.220 8.220
angles: 90.00 90.00 90.00
Space group Fm-3m (No. 225)
Asymmetric unit:
1 Cd 0.000 0.000 0.000
2 Tc 0.000 0.000 0.500
3 Pb 0.250 0.250 0.250
4 O 0.000 0.000 0.268

Principal peaks in the range 15° ≤ 2θ ≤ 90°, low angle first:
| h k l | 2theta | d (Å) | intensity |
| --- | --- | --- | --- |
| 2 0 0 | 21.6 | 4.110 | 7 |
| 2 2 0 | 30.8 | 2.906 | 100 |
| 2 2 2 | 37.9 | 2.373 | 9 |
| 4 0 0 | 44.1 | 2.055 | 27 |
| 4 2 2 | 54.7 | 1.678 | 40 |
| 4 4 0 | 64.1 | 1.453 | 17 |
| 6 2 0 | 72.8 | 1.300 | 18 |
| 6 4 2 | 89.2 | 1.098 | 23 |